(1)
# Li4V2Co3Sn3O16
Calculated powder X-ray diffraction pattern, Cu Kα (weighted mean of Kα1 and Kα2). Input: a GGA+U-relaxed structure.
No peak broadening, texture or thermal motion is included.

```
data_Li4V2Co3Sn3O16
_chemical_formula_sum 'Li4 V2 Co3 Sn3 O16'
_cell_length_a 6.1648
_cell_length_b 6.1648
_cell_length_c 9.7334
_cell_angle_alpha 90.70
_cell_angle_beta 90.70
_cell_angle_gamma 58.77
_space_group_name_H-M_alt 'P 1'
_space_group_IT_number 1
loop_
_space_group_symop_operation_xyz
'x,y,z'
loop_
_atom_site_label
_atom_site_fract_x
_atom_site_fract_y
_atom_site_fract_z
Li1 0.0000 0.0000 0.0000
Li2 0.0149 0.0149 0.5183
Li3 0.3094 0.3094 0.5949
Li4 0.6684 0.6684 0.0966
V1 0.3165 0.3165 0.0035
V2 0.6290 0.6290 0.5328
Co1 0.1766 0.1766 0.2852
Co2 0.3324 0.8124 0.7917
Co3 0.8124 0.3324 0.7917
Sn1 0.1724 0.6671 0.2839
Sn2 0.6671 0.1724 0.2839
Sn3 0.8179 0.8179 0.7854
O1 0.0127 0.0127 0.1857
O2 0.0516 0.4855 0.1461
O3 0.1647 0.6378 0.9126
O4 0.1735 0.1735 0.9184
O5 0.3355 0.3355 0.3971
O6 0.3551 0.8196 0.4162
O7 0.4855 0.0516 0.1461
O8 0.4900 0.4900 0.1587
O9 0.5011 0.5011 0.6420
O10 0.5114 0.9382 0.6469
O11 0.6378 0.1647 0.9126
O12 0.6571 0.6571 0.8948
O13 0.8196 0.3551 0.4162
O14 0.8548 0.8548 0.4039
O15 0.9382 0.5114 0.6469
O16 0.9907 0.9907 0.7044
```

Largest 6 diffraction maxima, by angle, 15° ≤ 2θ ≤ 90°:
2θ (°)	intensity
18.23	100
18.76	40
19.09	45
35.34	35
44.11	47
60.05	29

(2)
# Ba2Y2Mn4O11
Calculated powder X-ray diffraction pattern, Cu Kα (weighted mean of Kα1 and Kα2). Input: a GGA+U-relaxed structure.
No peak broadening, texture or thermal motion is included.

```
data_Ba2Y2Mn4O11
_chemical_formula_sum 'Ba2 Y2 Mn4 O11'
_cell_length_a 8.7710
_cell_length_b 8.7710
_cell_length_c 3.8546
_cell_angle_alpha 90.00
_cell_angle_beta 90.00
_cell_angle_gamma 124.48
_space_group_name_H-M_alt 'P 1'
_space_group_IT_number 1
loop_
_space_group_symop_operation_xyz
'x,y,z'
loop_
_atom_site_label
_atom_site_fract_x
_atom_site_fract_y
_atom_site_fract_z
Ba1 0.0000 0.5000 0.0000
Ba2 0.5000 0.0000 0.0000
Y1 0.2254 0.2254 0.0000
Y2 0.7746 0.7746 0.0000
Mn1 0.1241 0.8759 0.5000
Mn2 0.3858 0.6142 0.5000
Mn3 0.6142 0.3858 0.5000
Mn4 0.8759 0.1241 0.5000
O1 0.0000 0.0000 0.5000
O2 0.1119 0.8881 0.0000
O3 0.1664 0.3651 0.5000
O4 0.2488 0.7512 0.5000
O5 0.3651 0.1664 0.5000
O6 0.4121 0.5879 0.0000
O7 0.5879 0.4121 0.0000
O8 0.6349 0.8336 0.5000
O9 0.7512 0.2488 0.5000
O10 0.8336 0.6349 0.5000
O11 0.8881 0.1119 0.0000
```

Largest 6 diffraction maxima, by angle, 15° ≤ 2θ ≤ 90°:
2θ (°)	intensity
31.80	100
31.92	90
32.75	96
39.66	39
56.21	35
57.79	40